Record 1
Diffraction record for Tb3MgCd5. The powder diffraction line list is calculated, not measured: it uses DFT lattice parameters and positions (PBE) and a wavelength of 1.5418 Å.
Lines closer than 0.1° are merged.

Atomic structure:
a = 9.046 Å, b = 9.046 Å, c = 6.313 Å
α = 90.00°, β = 90.00°, γ = 120.00°
Element x y z (fractional)
Tb (0.000, 0.347, 0.250)
Tb (0.000, 0.653, 0.750)
Tb (0.347, 0.000, 0.250)
Tb (0.347, 0.347, 0.750)
Tb (0.653, 0.000, 0.750)
Tb (0.653, 0.653, 0.250)
Mg (0.000, 0.000, 0.000)
Mg (0.000, 0.000, 0.500)
Cd (0.000, 0.317, 0.750)
Cd (0.000, 0.683, 0.250)
Cd (0.317, 0.000, 0.750)
Cd (0.317, 0.317, 0.250)
Cd (0.333, 0.667, 0.000)
Cd (0.333, 0.667, 0.500)
Cd (0.667, 0.333, 0.000)
Cd (0.667, 0.333, 0.500)
Cd (0.683, 0.000, 0.250)
Cd (0.683, 0.683, 0.750)

Principal peaks in the range 2θ from 5° to 70°, in order of falling intensity:
- 2θ = 34.34°, I = 100
- 2θ = 34.65°, I = 77
- 2θ = 49.59°, I = 27
- 2θ = 61.70°, I = 26
- 2θ = 45.06°, I = 25
- 2θ = 69.60°, I = 25

---

Record 2
Diffraction record for Tb3Mg2Cd3. The powder diffraction line list is calculated, not measured: it uses DFT lattice parameters and positions (PBE) and a wavelength of 1.5418 Å.
Lines closer than 0.1° are merged.

Atomic structure:
a = 3.769 Å, b = 5.297 Å, c = 20.723 Å
α = 90.00°, β = 90.00°, γ = 90.00°
Element x y z (fractional)
Tb (0.000, 0.000, 0.000)
Tb (0.000, 0.500, 0.126)
Tb (0.000, 0.500, 0.874)
Tb (0.500, 0.000, 0.374)
Tb (0.500, 0.000, 0.626)
Tb (0.500, 0.500, 0.500)
Mg (0.000, 0.000, 0.239)
Mg (0.000, 0.000, 0.761)
Mg (0.500, 0.500, 0.261)
Mg (0.500, 0.500, 0.739)
Cd (0.000, 0.000, 0.500)
Cd (0.000, 0.500, 0.374)
Cd (0.000, 0.500, 0.626)
Cd (0.500, 0.000, 0.126)
Cd (0.500, 0.000, 0.874)
Cd (0.500, 0.500, 0.000)

Principal peaks in the range 2θ from 5° to 70°, in order of falling intensity:
- 2θ = 33.92°, I = 100
- 2θ = 8.53°, I = 28
- 2θ = 34.63°, I = 19
- 2θ = 60.61°, I = 15
- 2θ = 49.20°, I = 14
- 2θ = 61.62°, I = 13

---

Record 3
Diffraction record for Tb2MgCd3. The powder diffraction line list is calculated, not measured: it uses DFT lattice parameters and positions (PBE) and a wavelength of 1.5418 Å.
Lines closer than 0.1° are merged.

Atomic structure:
a = 5.161 Å, b = 5.161 Å, c = 12.833 Å
α = 90.00°, β = 90.00°, γ = 120.00°
Element x y z (fractional)
Tb (0.000, 0.000, 0.000)
Tb (0.000, 0.000, 0.500)
Tb (0.333, 0.667, 0.176)
Tb (0.667, 0.333, 0.824)
Mg (0.333, 0.667, 0.663)
Mg (0.667, 0.333, 0.337)
Cd (0.000, 0.000, 0.255)
Cd (0.000, 0.000, 0.745)
Cd (0.333, 0.667, 0.419)
Cd (0.333, 0.667, 0.914)
Cd (0.667, 0.333, 0.086)
Cd (0.667, 0.333, 0.581)

Principal peaks in the range 2θ from 5° to 70°, in order of falling intensity:
- 2θ = 34.41°, I = 100
- 2θ = 34.76°, I = 99
- 2θ = 62.09°, I = 35
- 2θ = 49.72°, I = 35
- 2θ = 61.41°, I = 18
- 2θ = 62.32°, I = 18

---

Record 4
Diffraction record for Tb5MgCd4. The powder diffraction line list is calculated, not measured: it uses DFT lattice parameters and positions (PBE) and a wavelength of 1.5418 Å.
Lines closer than 0.1° are merged.

Atomic structure:
a = 3.775 Å, b = 3.775 Å, c = 18.746 Å
α = 90.00°, β = 90.00°, γ = 90.00°
Element x y z (fractional)
Tb (0.000, 0.000, 0.000)
Tb (0.000, 0.000, 0.199)
Tb (0.000, 0.000, 0.399)
Tb (0.000, 0.000, 0.601)
Tb (0.000, 0.000, 0.801)
Mg (0.500, 0.500, 0.500)
Cd (0.500, 0.500, 0.100)
Cd (0.500, 0.500, 0.301)
Cd (0.500, 0.500, 0.699)
Cd (0.500, 0.500, 0.900)

Principal peaks in the range 2θ from 5° to 70°, in order of falling intensity:
- 2θ = 33.69°, I = 100
- 2θ = 33.57°, I = 51
- 2θ = 60.10°, I = 37
- 2θ = 60.33°, I = 18
- 2θ = 48.21°, I = 18
- 2θ = 48.56°, I = 9

---

Record 5
Diffraction record for Tb4Mg3Cd. The powder diffraction line list is calculated, not measured: it uses DFT lattice parameters and positions (PBE) and a wavelength of 1.5418 Å.
Lines closer than 0.1° are merged.

Atomic structure:
a = 3.413 Å, b = 5.076 Å, c = 12.668 Å
α = 90.00°, β = 90.00°, γ = 90.00°
Element x y z (fractional)
Tb (0.000, 0.000, 0.000)
Tb (0.000, 0.500, 0.336)
Tb (0.500, 0.000, 0.495)
Tb (0.500, 0.500, 0.842)
Mg (0.000, 0.000, 0.733)
Mg (0.000, 0.500, 0.602)
Mg (0.500, 0.500, 0.105)
Cd (0.500, 0.000, 0.234)

Principal peaks in the range 2θ from 5° to 70°, in order of falling intensity:
- 2θ = 32.39°, I = 100
- 2θ = 33.35°, I = 67
- 2θ = 33.77°, I = 54
- 2θ = 22.45°, I = 47
- 2θ = 49.70°, I = 36
- 2θ = 35.37°, I = 34

---

Record 6
Diffraction record for TbMg3Cd3. The powder diffraction line list is calculated, not measured: it uses DFT lattice parameters and positions (PBE) and a wavelength of 1.5418 Å.
Lines closer than 0.1° are merged.

Atomic structure:
a = 8.719 Å, b = 8.719 Å, c = 8.719 Å
α = 90.00°, β = 90.00°, γ = 90.00°
Element x y z (fractional)
Tb (0.048, 0.452, 0.548)
Tb (0.452, 0.548, 0.048)
Tb (0.548, 0.048, 0.452)
Tb (0.952, 0.952, 0.952)
Mg (0.130, 0.630, 0.870)
Mg (0.170, 0.170, 0.170)
Mg (0.191, 0.809, 0.309)
Mg (0.309, 0.191, 0.809)
Mg (0.330, 0.830, 0.670)
Mg (0.370, 0.370, 0.370)
Mg (0.630, 0.870, 0.130)
Mg (0.670, 0.330, 0.830)
Mg (0.691, 0.691, 0.691)
Mg (0.809, 0.309, 0.191)
Mg (0.830, 0.670, 0.330)
Mg (0.870, 0.130, 0.630)
Cd (0.007, 0.312, 0.898)
Cd (0.102, 0.507, 0.188)
Cd (0.188, 0.102, 0.507)
Cd (0.312, 0.898, 0.007)
Cd (0.398, 0.493, 0.688)
Cd (0.493, 0.688, 0.398)
Cd (0.507, 0.188, 0.102)
Cd (0.602, 0.993, 0.812)
Cd (0.688, 0.398, 0.493)
Cd (0.812, 0.602, 0.993)
Cd (0.898, 0.007, 0.312)
Cd (0.993, 0.812, 0.602)

Principal peaks in the range 2θ from 5° to 70°, in order of falling intensity:
- 2θ = 32.47°, I = 100
- 2θ = 37.18°, I = 56
- 2θ = 34.11°, I = 42
- 2θ = 42.76°, I = 41
- 2θ = 38.64°, I = 41
- 2θ = 20.37°, I = 38

---

Record 7
Diffraction record for TbMg3Cd4. The powder diffraction line list is calculated, not measured: it uses DFT lattice parameters and positions (PBE) and a wavelength of 1.5418 Å.
Lines closer than 0.1° are merged.

Atomic structure:
a = 4.872 Å, b = 4.872 Å, c = 7.639 Å
α = 90.00°, β = 90.00°, γ = 90.00°
Element x y z (fractional)
Tb (0.000, 0.000, 0.000)
Mg (0.000, 0.000, 0.500)
Mg (0.500, 0.500, 0.000)
Mg (0.500, 0.500, 0.500)
Cd (0.000, 0.500, 0.261)
Cd (0.000, 0.500, 0.739)
Cd (0.500, 0.000, 0.261)
Cd (0.500, 0.000, 0.739)

Principal peaks in the range 2θ from 5° to 70°, in order of falling intensity:
- 2θ = 35.08°, I = 100
- 2θ = 36.90°, I = 44
- 2θ = 65.31°, I = 31
- 2θ = 61.72°, I = 18
- 2θ = 53.17°, I = 15
- 2θ = 21.63°, I = 12

---

Record 8
Diffraction record for Tb6Mg2Cd. The powder diffraction line list is calculated, not measured: it uses DFT lattice parameters and positions (PBE) and a wavelength of 1.5418 Å.
Lines closer than 0.1° are merged.

Atomic structure:
a = 10.108 Å, b = 10.108 Å, c = 5.139 Å
α = 90.00°, β = 90.00°, γ = 90.00°
Element x y z (fractional)
Tb (0.017, 0.327, 0.000)
Tb (0.130, 0.870, 0.500)
Tb (0.173, 0.517, 0.500)
Tb (0.327, 0.017, 0.000)
Tb (0.370, 0.370, 0.000)
Tb (0.483, 0.827, 0.500)
Tb (0.517, 0.173, 0.500)
Tb (0.630, 0.630, 0.000)
Tb (0.673, 0.983, 0.000)
Tb (0.827, 0.483, 0.500)
Tb (0.870, 0.130, 0.500)
Tb (0.983, 0.673, 0.000)
Mg (0.193, 0.193, 0.500)
Mg (0.307, 0.693, 0.000)
Mg (0.693, 0.307, 0.000)
Mg (0.807, 0.807, 0.500)
Cd (0.000, 0.000, 0.000)
Cd (0.500, 0.500, 0.500)

Principal peaks in the range 2θ from 5° to 70°, in order of falling intensity:
- 2θ = 31.76°, I = 100
- 2θ = 37.76°, I = 27
- 2θ = 60.65°, I = 24
- 2θ = 34.92°, I = 23
- 2θ = 52.37°, I = 21
- 2θ = 64.44°, I = 13

---

Record 9
Diffraction record for TbThMgCd. The powder diffraction line list is calculated, not measured: it uses DFT lattice parameters and positions (PBE) and a wavelength of 1.5418 Å.
Lines closer than 0.1° are merged.

Atomic structure:
a = 7.620 Å, b = 7.620 Å, c = 7.620 Å
α = 90.00°, β = 90.00°, γ = 90.00°
Element x y z (fractional)
Tb (0.000, 0.000, 0.000)
Tb (0.000, 0.500, 0.500)
Tb (0.500, 0.000, 0.500)
Tb (0.500, 0.500, 0.000)
Th (0.000, 0.000, 0.500)
Th (0.000, 0.500, 0.000)
Th (0.500, 0.000, 0.000)
Th (0.500, 0.500, 0.500)
Mg (0.250, 0.250, 0.250)
Mg (0.250, 0.750, 0.750)
Mg (0.750, 0.250, 0.750)
Mg (0.750, 0.750, 0.250)
Cd (0.250, 0.250, 0.750)
Cd (0.250, 0.750, 0.250)
Cd (0.750, 0.250, 0.250)
Cd (0.750, 0.750, 0.750)

Principal peaks in the range 2θ from 5° to 70°, in order of falling intensity:
- 2θ = 33.26°, I = 100
- 2θ = 59.43°, I = 38
- 2θ = 23.35°, I = 25
- 2θ = 47.75°, I = 18
- 2θ = 69.83°, I = 12
- 2θ = 53.81°, I = 11

---

Record 10
Diffraction record for Th2Mg3Cd2. The powder diffraction line list is calculated, not measured: it uses DFT lattice parameters and positions (PBE) and a wavelength of 1.5418 Å.
Lines closer than 0.1° are merged.

Atomic structure:
a = 4.975 Å, b = 22.417 Å, c = 3.310 Å
α = 90.00°, β = 90.00°, γ = 90.00°
Element x y z (fractional)
Th (0.000, 0.152, 0.000)
Th (0.000, 0.848, 0.000)
Th (0.500, 0.348, 0.000)
Th (0.500, 0.652, 0.000)
Mg (0.000, 0.000, 0.000)
Mg (0.000, 0.430, 0.500)
Mg (0.000, 0.570, 0.500)
Mg (0.500, 0.070, 0.500)
Mg (0.500, 0.500, 0.000)
Mg (0.500, 0.930, 0.500)
Cd (0.000, 0.286, 0.500)
Cd (0.000, 0.714, 0.500)
Cd (0.500, 0.214, 0.500)
Cd (0.500, 0.786, 0.500)

Principal peaks in the range 2θ from 5° to 70°, in order of falling intensity:
- 2θ = 7.89°, I = 100
- 2θ = 34.70°, I = 45
- 2θ = 33.27°, I = 45
- 2θ = 32.74°, I = 27
- 2θ = 31.39°, I = 21
- 2θ = 36.11°, I = 20

---

Record 11
Diffraction record for ThMg3Cd9. The powder diffraction line list is calculated, not measured: it uses DFT lattice parameters and positions (PBE) and a wavelength of 1.5418 Å.
Lines closer than 0.1° are merged.

Atomic structure:
a = 7.615 Å, b = 7.615 Å, c = 7.593 Å
α = 98.98°, β = 98.98°, γ = 133.46°
Element x y z (fractional)
Th (0.000, 0.000, 0.000)
Mg (0.000, 0.500, 0.000)
Mg (0.500, 0.000, 0.000)
Mg (0.500, 0.500, 0.500)
Cd (0.000, 0.000, 0.500)
Cd (0.001, 0.351, 0.346)
Cd (0.292, 0.505, 0.788)
Cd (0.351, 0.001, 0.346)
Cd (0.495, 0.708, 0.212)
Cd (0.505, 0.292, 0.788)
Cd (0.649, 0.999, 0.654)
Cd (0.708, 0.495, 0.212)
Cd (0.999, 0.649, 0.654)

Principal peaks in the range 2θ from 5° to 70°, in order of falling intensity:
- 2θ = 36.00°, I = 100
- 2θ = 30.96°, I = 62
- 2θ = 34.92°, I = 44
- 2θ = 29.70°, I = 44
- 2θ = 36.38°, I = 39
- 2θ = 56.90°, I = 31

---

Record 12
Diffraction record for Th2Mg5Cd12. The powder diffraction line list is calculated, not measured: it uses DFT lattice parameters and positions (PBE) and a wavelength of 1.5418 Å.
Lines closer than 0.1° are merged.

Atomic structure:
a = 7.626 Å, b = 7.626 Å, c = 7.626 Å
α = 82.00°, β = 82.00°, γ = 82.00°
Element x y z (fractional)
Th (0.166, 0.166, 0.166)
Th (0.834, 0.834, 0.834)
Mg (0.000, 0.500, 0.500)
Mg (0.397, 0.397, 0.397)
Mg (0.500, 0.000, 0.500)
Mg (0.500, 0.500, 0.000)
Mg (0.603, 0.603, 0.603)
Cd (0.141, 0.141, 0.651)
Cd (0.141, 0.651, 0.141)
Cd (0.206, 0.500, 0.794)
Cd (0.206, 0.794, 0.500)
Cd (0.349, 0.859, 0.859)
Cd (0.500, 0.206, 0.794)
Cd (0.500, 0.794, 0.206)
Cd (0.651, 0.141, 0.141)
Cd (0.794, 0.206, 0.500)
Cd (0.794, 0.500, 0.206)
Cd (0.859, 0.349, 0.859)
Cd (0.859, 0.859, 0.349)

Principal peaks in the range 2θ from 5° to 70°, in order of falling intensity:
- 2θ = 35.94°, I = 100
- 2θ = 31.64°, I = 34
- 2θ = 30.96°, I = 24
- 2θ = 36.09°, I = 22
- 2θ = 23.74°, I = 15
- 2θ = 25.24°, I = 14